Starting from a structure optimized by DFT (GGA-PBE), the X-ray diffraction stick pattern of MgTe2O5 was computed for a wavelength of 1.5418 Å.
Lines closer than 0.1° are merged.

Largest 8 diffraction maxima, by angle, 2θ = 10–80°:
2θ (°)	d/Å	intensity
14.5	6.110	18.3
25.1	3.542	100.0
27.5	3.245	28.3
29.5	3.028	92.3
33.1	2.709	20.4
40.8	2.212	20.2
51.1	1.786	28.0
54.3	1.689	17.1

```
MgTe2O5
1.0
7.3979 0.0000 0.0000
0.0000 10.8345 0.0000
0.0000 0.0000 6.0440
Mg Te O
4 8 20
Cartesian
0.0000 0.6376 1.5110
0.0000 10.1969 4.5330
3.6989 4.7797 4.5330
3.6989 6.0548 1.5110
1.0128 3.7539 0.0637
1.0128 7.0806 3.0857
2.6861 1.6633 3.0857
2.6861 9.1712 0.0637
4.7118 1.6633 5.9804
4.7118 9.1712 2.9584
6.3851 3.7539 2.9584
6.3851 7.0806 5.9804
0.0000 4.7661 1.5110
0.0000 6.0684 4.5330
1.0847 0.7050 3.3287
1.0847 10.1295 0.3067
1.4152 2.2315 1.1268
1.4152 8.6030 4.1488
2.2837 3.1857 4.1488
2.2837 7.6488 1.1268
2.6142 4.7123 0.3067
2.6142 6.1222 3.3287
3.6989 0.6512 4.5330
3.6989 10.1833 1.5110
4.7837 4.7123 2.7154
4.7837 6.1222 5.7374
5.1142 3.1857 4.9172
5.1142 7.6488 1.8952
5.9827 2.2315 1.8952
5.9827 8.6030 4.9172
6.3132 0.7050 5.7374
6.3132 10.1295 2.7154
```

---

Starting from a structure optimized by DFT (GGA-PBE), the X-ray diffraction stick pattern of Cs2KBiBr6 was computed for a wavelength of 1.5418 Å.
Lines closer than 0.1° are merged.

Largest 8 diffraction maxima, by angle, 2θ = 10–80°:
2θ (°)	d/Å	intensity
12.7	6.976	38.1
20.8	4.272	57.3
25.5	3.488	50.1
29.6	3.021	100.0
36.4	2.466	26.6
42.3	2.136	72.9
52.5	1.744	25.3
69.6	1.351	31.6

```
Cs2KBiBr6
1.0
0.0000 6.0415 6.0415
6.0415 0.0000 6.0415
6.0415 6.0415 0.0000
Cs K Bi Br
2 1 1 6
Cartesian
3.0208 3.0208 3.0208
9.0623 9.0623 9.0623
0.0000 0.0000 0.0000
6.0415 6.0415 6.0415
6.0415 6.0415 3.1720
6.0415 3.1720 6.0415
8.9110 6.0415 6.0415
3.1720 6.0415 6.0415
6.0415 8.9110 6.0415
6.0415 6.0415 8.9110
```

---

Starting from a structure optimized by DFT (GGA-PBE), the X-ray diffraction stick pattern of K2TlSbCl6 was computed for a wavelength of 1.5418 Å.
Lines closer than 0.1° are merged.

Largest 8 diffraction maxima, by angle, 2θ = 10–80°:
2θ (°)	d/Å	intensity
15.6	5.675	100.0
22.2	4.013	99.5
31.5	2.838	70.8
35.4	2.538	51.7
38.9	2.317	45.8
45.2	2.006	48.2
48.1	1.892	27.1
61.1	1.517	25.9

```
K2TlSbCl6
1.0
0.0000 5.6752 5.6752
5.6752 0.0000 5.6752
5.6752 5.6752 0.0000
K Tl Sb Cl
2 1 1 6
Cartesian
2.8376 2.8376 2.8376
8.5128 8.5128 8.5128
0.0000 0.0000 0.0000
5.6752 5.6752 5.6752
5.6752 5.6752 3.0192
5.6752 3.0192 5.6752
8.3312 5.6752 5.6752
3.0192 5.6752 5.6752
5.6752 8.3312 5.6752
5.6752 5.6752 8.3312
```

---

Starting from a structure optimized by DFT (GGA-PBE), the X-ray diffraction stick pattern of MgCu2Rh4S8 was computed for a wavelength of 1.5418 Å.
Lines closer than 0.1° are merged.

Largest 8 diffraction maxima, by angle, 2θ = 10–80°:
2θ (°)	d/Å	intensity
15.4	5.747	42.0
29.0	3.079	27.2
29.6	3.020	88.3
29.9	2.992	49.6
35.8	2.510	100.0
46.5	1.953	27.7
50.8	1.799	65.5
52.2	1.752	67.6

```
MgCu2Rh4S8
1.0
3.5045 2.0233 5.9554
-3.5045 2.0233 5.9554
0.0000 -4.0467 5.9554
Mg Cu Rh S
1 2 4 8
Cartesian
0.0000 0.0000 0.0000
0.0000 0.0000 2.5138
0.0000 0.0000 15.3524
-1.7523 -1.0117 5.9554
-1.7523 1.0117 11.9108
0.0000 2.0233 5.9554
0.0000 0.0000 8.9331
0.0000 -1.8475 7.3864
-1.5999 0.9237 7.3864
0.0000 0.0000 4.7302
-1.5999 -0.9237 10.4798
1.5999 0.9237 7.3864
0.0000 0.0000 13.1361
1.5999 -0.9237 10.4799
0.0000 1.8475 10.4799
```

---

Starting from a structure optimized by DFT (GGA-PBE), the X-ray diffraction stick pattern of UAsP was computed for a wavelength of 1.5418 Å.
Lines closer than 0.1° are merged.

Largest 8 diffraction maxima, by angle, 2θ = 10–80°:
2θ (°)	d/Å	intensity
25.7	3.469	100.0
32.9	2.726	23.8
33.8	2.650	26.3
34.8	2.579	32.7
40.1	2.248	65.0
47.1	1.928	30.3
54.5	1.685	27.7
59.3	1.559	21.2

```
UAsP
1.0
3.8555 0.0000 0.0000
0.0000 3.8555 0.0000
0.0000 0.0000 7.9494
U As P
2 2 2
Cartesian
0.9639 0.9639 1.6231
2.8916 2.8916 6.3263
0.9639 2.8916 3.9747
2.8916 0.9639 3.9747
0.9639 0.9639 6.8014
2.8916 2.8916 1.1480
```